No. 1
Diffraction record for Ca3Al2H6SO8F8. The X-ray diffraction stick pattern is simulated, not measured: it uses a structure optimized by DFT (GGA-PBE) and Cu Ka.
No peak broadening, texture or thermal motion is included.

Cell and atoms:
Lattice parameters (Å, degrees): 8.298 8.298 10.071 92.91 92.91 63.23
Atoms (fractional coordinates):
Ca: 0.028 0.466 0.193
Ca: 0.030 0.970 0.750
Ca: 0.466 0.028 0.693
Ca: 0.534 0.972 0.307
Ca: 0.970 0.030 0.250
Ca: 0.972 0.534 0.807
Al: 0.100 0.303 0.513
Al: 0.303 0.100 0.013
Al: 0.697 0.900 0.987
Al: 0.900 0.697 0.487
H: 0.177 0.693 0.980
H: 0.231 0.506 0.425
H: 0.307 0.823 0.520
H: 0.313 0.578 0.869
H: 0.422 0.687 0.631
H: 0.494 0.769 0.075
H: 0.506 0.231 0.925
H: 0.578 0.313 0.369
H: 0.687 0.422 0.131
H: 0.693 0.177 0.480
H: 0.769 0.494 0.575
H: 0.823 0.307 0.020
S: 0.345 0.655 0.250
S: 0.655 0.345 0.750
O: 0.118 0.497 0.435
O: 0.166 0.681 0.188
O: 0.185 0.667 0.883
O: 0.319 0.834 0.312
O: 0.333 0.815 0.617
O: 0.404 0.519 0.355
O: 0.481 0.596 0.145
O: 0.497 0.118 0.935
O: 0.503 0.882 0.065
O: 0.519 0.404 0.855
O: 0.596 0.481 0.645
O: 0.667 0.185 0.383
O: 0.681 0.166 0.688
O: 0.815 0.333 0.117
O: 0.834 0.319 0.812
O: 0.882 0.503 0.565
F: 0.019 0.260 0.348
F: 0.043 0.139 0.579
F: 0.135 0.332 0.976
F: 0.139 0.043 0.079
F: 0.205 0.322 0.679
F: 0.260 0.019 0.848
F: 0.322 0.205 0.179
F: 0.332 0.135 0.476
F: 0.668 0.865 0.524
F: 0.678 0.795 0.821
F: 0.740 0.981 0.152
F: 0.795 0.678 0.321
F: 0.861 0.957 0.921
F: 0.865 0.668 0.024
F: 0.957 0.861 0.421
F: 0.981 0.740 0.652

The 10 most intense peaks (10° ≤ 2θ ≤ 80°), by intensity:
- 22.30°, I 100
- 25.25°, I 79
- 12.55°, I 60
- 11.95°, I 56
- 41.43°, I 53
- 44.38°, I 45
- 27.17°, I 39
- 28.90°, I 38
- 15.08°, I 32
- 31.85°, I 32

No. 2
Diffraction record for Na2Ca3Al2F14. The X-ray diffraction stick pattern is simulated, not measured: it uses a structure optimized by DFT (GGA-PBE) and Cu Ka.
No peak broadening, texture or thermal motion is included.

Cell and atoms:
Lattice parameters (Å, degrees): 8.972 8.972 8.972 109.47 109.47 109.47
Atoms (fractional coordinates):
Na: 0.000 0.171 0.500
Na: 0.171 0.500 0.000
Na: 0.329 0.329 0.329
Na: 0.500 0.000 0.171
Ca: 0.034 0.784 0.250
Ca: 0.250 0.034 0.784
Ca: 0.466 0.716 0.750
Ca: 0.716 0.750 0.466
Ca: 0.750 0.466 0.716
Ca: 0.784 0.250 0.034
Al: 0.000 0.496 0.500
Al: 0.004 0.004 0.004
Al: 0.496 0.500 0.000
Al: 0.500 0.000 0.496
F: 0.000 0.923 0.500
F: 0.001 0.552 0.323
F: 0.055 0.241 0.073
F: 0.073 0.055 0.241
F: 0.177 0.729 0.677
F: 0.187 0.445 0.519
F: 0.241 0.073 0.055
F: 0.259 0.313 0.832
F: 0.313 0.832 0.259
F: 0.323 0.001 0.552
F: 0.427 0.668 0.981
F: 0.445 0.519 0.187
F: 0.499 0.823 0.551
F: 0.500 0.000 0.923
F: 0.519 0.187 0.445
F: 0.551 0.499 0.823
F: 0.552 0.323 0.001
F: 0.577 0.577 0.577
F: 0.668 0.981 0.427
F: 0.677 0.177 0.729
F: 0.729 0.677 0.177
F: 0.771 0.948 0.949
F: 0.823 0.551 0.499
F: 0.832 0.259 0.313
F: 0.923 0.500 0.000
F: 0.948 0.949 0.771
F: 0.949 0.771 0.948
F: 0.981 0.427 0.668

The 10 most intense peaks (10° ≤ 2θ ≤ 80°), by intensity:
- 44.60°, I 100
- 21.00°, I 90
- 29.88°, I 86
- 49.79°, I 79
- 40.86°, I 75
- 48.11°, I 74
- 27.22°, I 66
- 54.61°, I 58
- 24.30°, I 49
- 59.15°, I 37

No. 3
Diffraction record for NaCaAlOF6. The X-ray diffraction stick pattern is simulated, not measured: it uses a structure optimized by DFT (GGA-PBE) and Cu Ka.
No peak broadening, texture or thermal motion is included.

Cell and atoms:
Lattice parameters (Å, degrees): 5.623 5.713 16.485 90.00 92.34 90.00
Atoms (fractional coordinates):
Na: 0.241 0.188 0.252
Na: 0.241 0.312 0.752
Na: 0.759 0.688 0.248
Na: 0.759 0.812 0.748
Ca: 0.242 0.737 0.110
Ca: 0.242 0.763 0.610
Ca: 0.758 0.237 0.390
Ca: 0.758 0.263 0.890
Al: 0.271 0.719 0.364
Al: 0.271 0.781 0.864
Al: 0.729 0.219 0.136
Al: 0.729 0.281 0.636
O: 0.082 0.071 0.497
O: 0.082 0.429 0.997
O: 0.918 0.571 0.003
O: 0.918 0.929 0.503
F: 0.001 0.096 0.652
F: 0.001 0.404 0.152
F: 0.083 0.045 0.847
F: 0.083 0.455 0.347
F: 0.270 0.677 0.472
F: 0.270 0.823 0.972
F: 0.295 0.740 0.251
F: 0.295 0.760 0.751
F: 0.442 0.505 0.872
F: 0.442 0.995 0.372
F: 0.453 0.054 0.139
F: 0.453 0.446 0.639
F: 0.547 0.554 0.361
F: 0.547 0.946 0.861
F: 0.558 0.005 0.628
F: 0.558 0.495 0.128
F: 0.705 0.240 0.249
F: 0.705 0.260 0.749
F: 0.730 0.177 0.028
F: 0.730 0.323 0.528
F: 0.917 0.545 0.653
F: 0.917 0.955 0.153
F: 0.999 0.596 0.848
F: 0.999 0.904 0.348

The 10 most intense peaks (10° ≤ 2θ ≤ 80°), by intensity:
- 22.19°, I 100
- 45.27°, I 65
- 43.99°, I 35
- 21.58°, I 33
- 35.81°, I 26
- 30.68°, I 24
- 10.74°, I 22
- 45.83°, I 20
- 51.33°, I 18
- 31.61°, I 18

No. 4
Diffraction record for Ca2AlPbOF8. The X-ray diffraction stick pattern is simulated, not measured: it uses a structure optimized by DFT (GGA-PBE) and Cu Ka.
No peak broadening, texture or thermal motion is included.

Cell and atoms:
Lattice parameters (Å, degrees): 5.532 5.538 12.083 90.03 102.23 94.38
Atoms (fractional coordinates):
Ca: 0.000 0.000 0.000
Ca: 0.089 0.504 0.229
Ca: 0.490 0.498 0.997
Ca: 0.602 0.017 0.230
Al: 0.272 0.930 0.425
Al: 0.843 0.540 0.781
Pb: 0.318 0.033 0.725
Pb: 0.865 0.382 0.516
O: 0.803 0.362 0.349
O: 0.984 0.345 0.684
F: 0.137 0.106 0.519
F: 0.142 0.636 0.876
F: 0.214 0.669 0.512
F: 0.295 0.766 0.108
F: 0.296 0.272 0.119
F: 0.300 0.146 0.907
F: 0.305 0.183 0.333
F: 0.421 0.741 0.341
F: 0.535 0.447 0.700
F: 0.574 0.033 0.514
F: 0.697 0.739 0.875
F: 0.793 0.746 0.112
F: 0.794 0.246 0.111
F: 0.800 0.295 0.881
F: 0.890 0.801 0.696
F: 0.973 0.851 0.330

The 10 most intense peaks (10° ≤ 2θ ≤ 80°), by intensity:
- 24.42°, I 100
- 23.96°, I 95
- 29.36°, I 70
- 26.26°, I 60
- 22.13°, I 51
- 19.81°, I 47
- 33.22°, I 46
- 22.24°, I 46
- 45.37°, I 45
- 17.85°, I 44